# 1
For Hf6In3Hg, DFT lattice parameters and positions (PBE) gives the theoretical X-ray diffraction stick pattern in this record (Cu Kα, 1.54184 Å).
Neutral-atom scattering factors, no anomalous dispersion.

Cell and atoms:
```
20
Lattice="4.4359 -7.5739 0.0000 4.4359 7.5739 0.0000 0.0000 0.0000 6.9454" Properties=species:S:1:pos:R:3 pbc="T T T"
Hf 2.7229 4.1247 3.3976
Hf 4.4359 6.9205 3.4727
Hf 2.7609 1.1948 5.0867
Hf 4.4359 3.5927 5.6997
Hf 2.7609 -1.1948 1.6140
Hf 6.1489 4.1247 3.3976
Hf 2.7229 -4.1247 6.8703
Hf 6.1109 1.1948 5.0867
Hf 4.4359 -3.5927 2.2270
Hf 6.1109 -1.1948 1.6140
Hf 4.4359 -6.9205 0.0000
Hf 6.1489 -4.1247 6.8703
In 1.7615 1.4987 2.2654
In 1.7615 -1.4987 5.7381
In 4.4359 1.3901 0.8179
In 4.4359 -1.3901 4.2906
In 7.1103 1.4987 2.2654
In 7.1103 -1.4987 5.7381
Hg 4.4359 5.0750 1.1982
Hg 4.4359 -5.0750 4.6709
```

The 10 most intense peaks (10 to 90 degrees two-theta), sorted by position:
two_theta  I (rel.)
17.31  24
28.24  23
33.46  43
33.69  64
33.82  33
34.88  84
35.06  28
35.56  26
37.55  92
40.71  100

***

# 2
For Hf6InHg, DFT lattice parameters and positions (PBE) gives the theoretical X-ray diffraction stick pattern in this record (Cu Kα, 1.54184 Å).
Neutral-atom scattering factors, no anomalous dispersion.

Cell and atoms:
```
8
Lattice="5.5620 0.0000 0.0000 0.0000 5.5620 0.0000 0.0000 0.0000 5.5620" Properties=species:S:1:pos:R:3 pbc="T T T"
Hf 0.0000 1.3960 2.7810
Hf 0.0000 4.1660 2.7810
Hf 1.3960 2.7810 0.0000
Hf 2.7810 0.0000 1.3960
Hf 2.7810 0.0000 4.1660
Hf 4.1660 2.7810 0.0000
In 0.0000 0.0000 0.0000
Hg 2.7810 2.7810 2.7810
```

The 10 most intense peaks (10 to 90 degrees two-theta), sorted by position:
two_theta  I (rel.)
32.19  30
36.11  100
39.69  69
57.39  10
59.97  23
62.48  37
67.34  15
76.61  10
78.87  21
81.10  9

***

# 3
For Hf5In4Hg, DFT lattice parameters and positions (PBE) gives the theoretical X-ray diffraction stick pattern in this record (Cu Kα, 1.54184 Å).
Neutral-atom scattering factors, no anomalous dispersion.

Cell and atoms:
```
10
Lattice="3.1259 0.0000 0.0000 0.0000 3.1259 0.0000 0.0000 0.0000 21.9932" Properties=species:S:1:pos:R:3 pbc="T T T"
Hf 0.0000 0.0000 0.0000
Hf 0.0000 0.0000 4.4447
Hf 0.0000 0.0000 8.8578
Hf 0.0000 0.0000 13.1354
Hf 0.0000 0.0000 17.5485
In 1.5630 1.5630 2.2212
In 1.5630 1.5630 6.6572
In 1.5630 1.5630 15.3360
In 1.5630 1.5630 19.7719
Hg 1.5630 1.5630 10.9966
```

The 10 most intense peaks (10 to 90 degrees two-theta), sorted by position:
two_theta  I (rel.)
35.22  100
40.82  33
41.04  16
59.11  11
59.27  22
70.71  26
71.01  13
74.47  11
88.46  4
89.02  2

***

# 4
For Hf4InHg, DFT lattice parameters and positions (PBE) gives the theoretical X-ray diffraction stick pattern in this record (Cu Kα, 1.54184 Å).
Neutral-atom scattering factors, no anomalous dispersion.

Cell and atoms:
```
6
Lattice="2.1602 -6.9273 0.0000 2.1602 6.9273 0.0000 0.0000 0.0000 4.3895" Properties=species:S:1:pos:R:3 pbc="T T T"
Hf 2.1602 4.5630 0.0000
Hf 2.1602 2.3629 2.1947
Hf 2.1602 -2.3629 2.1947
Hf 2.1602 -4.5630 0.0000
In 0.0000 0.0000 2.1947
Hg 2.1602 0.0000 0.0000
```

The 10 most intense peaks (10 to 90 degrees two-theta), sorted by position:
two_theta  I (rel.)
35.03  100
39.01  18
41.13  16
41.82  15
57.97  12
58.51  11
68.10  14
71.01  13
71.97  12
74.00  11

***

# 5
For Hf2InHg, DFT lattice parameters and positions (PBE) gives the theoretical X-ray diffraction stick pattern in this record (Cu Kα, 1.54184 Å).
Neutral-atom scattering factors, no anomalous dispersion.

Cell and atoms:
```
4
Lattice="3.1587 0.0000 0.0000 0.0000 4.4175 0.0000 0.0000 0.0000 6.1002" Properties=species:S:1:pos:R:3 pbc="T T T"
Hf 0.0000 0.0000 1.5199
Hf 0.0000 0.0000 4.5803
In 1.5794 2.2088 3.0501
Hg 1.5794 2.2088 0.0000
```

The 10 most intense peaks (10 to 90 degrees two-theta), sorted by position:
two_theta  I (rel.)
34.92  100
35.77  94
40.86  33
41.14  64
59.37  44
70.44  26
70.57  13
71.09  13
72.01  25
73.75  12

***

# 6
For Hf12InHg3, DFT lattice parameters and positions (PBE) gives the theoretical X-ray diffraction stick pattern in this record (Cu Kα, 1.54184 Å).
Neutral-atom scattering factors, no anomalous dispersion.

Cell and atoms:
```
16
Lattice="4.4053 0.0000 0.0000 0.0000 4.4053 0.0000 0.0000 0.0000 17.6282" Properties=species:S:1:pos:R:3 pbc="T T T"
Hf 0.0000 0.0000 0.0000
Hf 0.0000 0.0000 4.3898
Hf 0.0000 0.0000 8.8141
Hf 0.0000 0.0000 13.2383
Hf 0.0000 2.2027 2.1991
Hf 0.0000 2.2027 6.6012
Hf 0.0000 2.2027 11.0270
Hf 0.0000 2.2027 15.4291
Hf 2.2027 0.0000 2.1991
Hf 2.2027 0.0000 6.6012
Hf 2.2027 0.0000 11.0270
Hf 2.2027 0.0000 15.4291
In 2.2027 2.2027 8.8141
Hg 2.2027 2.2027 0.0000
Hg 2.2027 2.2027 4.3888
Hg 2.2027 2.2027 13.2394
```

The 6 most intense peaks (10 to 90 degrees two-theta), sorted by position:
two_theta  I (rel.)
35.28  100
40.97  50
59.33  34
70.95  40
74.62  12
88.84  6

***

# 7
For Hf7In2Hg2, DFT lattice parameters and positions (PBE) gives the theoretical X-ray diffraction stick pattern in this record (Cu Kα, 1.54184 Å).
Neutral-atom scattering factors, no anomalous dispersion.

Cell and atoms:
```
11
Lattice="4.4538 -5.2221 0.0000 4.4538 5.2221 0.0000 -2.2980 0.0000 5.4391" Properties=species:S:1:pos:R:3 pbc="T T T"
Hf 0.0000 0.0000 0.0000
Hf 1.0486 2.6732 4.2772
Hf 1.6040 0.0000 2.7894
Hf 5.5610 2.6732 1.1619
Hf 1.0486 -2.6732 4.2772
Hf 5.0056 0.0000 2.6497
Hf 5.5610 -2.6732 1.1619
In 3.3048 3.7367 2.7196
In 3.3048 -3.7367 2.7196
Hg 3.0067 0.0000 0.2927
Hg 3.6029 0.0000 5.1464
```

The 10 most intense peaks (10 to 90 degrees two-theta), sorted by position:
two_theta  I (rel.)
33.88  65
34.35  62
36.10  69
36.47  64
37.28  100
37.45  51
40.51  21
40.86  27
40.97  27
63.45  27

***

# 8
For Hf4HgIr, DFT lattice parameters and positions (PBE) gives the theoretical X-ray diffraction stick pattern in this record (Cu Kα, 1.54184 Å).
Neutral-atom scattering factors, no anomalous dispersion.

Cell and atoms:
```
6
Lattice="-2.7267 2.7267 4.3909 2.7267 -2.7267 4.3909 2.7267 2.7267 -4.3909" Properties=species:S:1:pos:R:3 pbc="T T T"
Hf 2.7267 0.0000 0.5357
Hf 0.0000 0.0000 1.5636
Hf 2.7267 0.0000 3.8551
Hf 0.0000 0.0000 7.2182
Hg 0.0000 0.0000 4.3909
Ir 0.0000 2.7267 2.1954
```

The 10 most intense peaks (10 to 90 degrees two-theta), sorted by position:
two_theta  I (rel.)
32.85  100
34.78  80
47.14  37
48.59  63
59.90  17
68.58  18
70.02  21
78.42  17
79.52  15
87.40  23